Entry 1:
Diffraction record for PaGa2O6. The PXRD pattern is calculated, not measured: it uses a GGA-PBE-relaxed structure and Cu Kα.
Kinematic intensities with the Lorentz-polarization factor, no thermal factor.

Atomic structure:
```
PaGa2O6
1.0
5.0151 -5.1152 0.0000
5.0151 5.1152 0.0000
-2.6096 0.0000 5.5697
Pa Ga O
2 4 12
Direct
0.1004 0.8996 0.7500
0.8996 0.1004 0.2500
0.2517 0.4215 0.8065
0.4215 0.2517 0.3065
0.5785 0.7483 0.6935
0.7483 0.5785 0.1935
0.0762 0.1820 0.6484
0.1118 0.6322 0.8115
0.1820 0.0762 0.1484
0.3678 0.8882 0.6885
0.3742 0.4149 0.5754
0.4149 0.3742 0.0754
0.5851 0.6258 0.9246
0.6258 0.5851 0.4246
0.6322 0.1118 0.3115
0.8180 0.9238 0.8516
0.8882 0.3678 0.1885
0.9238 0.8180 0.3516
```

Peak list (10 most intense, 2θ from 10° to 90°, low angle first)
13.03°, rel. 60
17.09°, rel. 73
17.34°, rel. 38
23.65°, rel. 65
26.04°, rel. 100
30.12°, rel. 39
30.80°, rel. 58
32.14°, rel. 37
34.39°, rel. 60
35.05°, rel. 33

---

Entry 2:
Diffraction record for Tb4NdCo. The PXRD pattern is calculated, not measured: it uses a GGA-PBE-relaxed structure and Cu Kα.
Kinematic intensities with the Lorentz-polarization factor, no thermal factor.

Atomic structure:
```
Tb4NdCo
1.0
3.5877 0.0000 0.0000
1.7857 5.9846 0.0000
0.0041 2.9311 7.8964
Tb Nd Co
4 1 1
Direct
0.1240 0.2514 0.3818
0.1742 0.1555 0.7950
0.8258 0.8445 0.2050
0.8760 0.7486 0.6182
0.5000 0.5000 0.0000
0.5000 0.5000 0.5000
```

Peak list (10 most intense, 2θ from 10° to 90°, low angle first)
27.32°, rel. 35
29.86°, rel. 43
31.93°, rel. 80
32.12°, rel. 66
32.79°, rel. 99
34.64°, rel. 100
50.20°, rel. 32
50.91°, rel. 25
59.87°, rel. 21
61.44°, rel. 26

---

Entry 3:
Diffraction record for ZrTl2InOs. The PXRD pattern is calculated, not measured: it uses a GGA-PBE-relaxed structure and Cu Kα.
Kinematic intensities with the Lorentz-polarization factor, no thermal factor.

Atomic structure:
```
ZrTl2InOs
1.0
5.2295 0.0000 0.0000
0.0000 5.2295 0.0000
0.0000 0.0000 5.1368
Zr Tl In Os
1 2 1 1
Direct
0.0000 0.0000 0.0000
0.0000 0.5000 0.5000
0.5000 0.0000 0.5000
0.5000 0.5000 0.0000
0.5000 0.5000 0.5000
```

Peak list (10 most intense, 2θ from 10° to 90°, low angle first)
16.95°, rel. 38
17.26°, rel. 57
29.77°, rel. 82
34.30°, rel. 100
34.93°, rel. 48
38.64°, rel. 32
49.29°, rel. 36
49.76°, rel. 70
58.65°, rel. 24
61.83°, rel. 37